Record 1
For Li4MnP6O18, a DFT-relaxed cell (GGA+U, Alexandria) gives the computed X-ray diffraction stick pattern in this record (a wavelength of 1.5418 Å).
Peak positions follow from Bragg's law for the DFT cell and can differ from measured ones.

Atomic structure:
a = 7.1752 Å, b = 7.7230 Å, c = 8.0077 Å
α = 118.46°, β = 105.71°, γ = 98.59°
Positions (direct):
Li1 0.0000 0.0000 0.0000
Li2 0.1056 0.3492 0.4123
Li3 0.7287 0.4488 0.0997
Li4 0.8844 0.6448 0.5686
Mn1 0.3020 0.5624 0.9183
P1 0.1938 0.7131 0.3396
P2 0.2720 0.0448 0.7479
P3 0.4998 0.2473 0.3137
P4 0.5056 0.7629 0.6851
P5 0.7218 0.9514 0.2509
P6 0.8049 0.2879 0.6639
O1 0.0260 0.5635 0.3333
O2 0.1089 0.9299 0.7767
O3 0.1875 0.6988 0.1457
O4 0.2115 0.9504 0.5030
O5 0.2765 0.2208 0.2505
O6 0.3371 0.2774 0.8582
O7 0.3609 0.6078 0.6957
O8 0.4151 0.7048 0.4494
O9 0.4802 0.9897 0.8084
O10 0.5198 0.0157 0.1897
O11 0.5897 0.3032 0.5499
O12 0.6413 0.7165 0.1356
O13 0.6432 0.3977 0.2996
O14 0.7274 0.7867 0.7493
O15 0.7815 0.0476 0.4957
O16 0.8097 0.3075 0.8581
O17 0.8921 0.0571 0.2223
O18 0.9803 0.4325 0.6687

The 10 most intense peaks (2θ from 5° to 70°), in order of falling intensity:
| hkl | 2θ/deg | d_spacing | I_rel |
| --- | --- | --- | --- |
| 1 1 -1 | 18.32 | 4.844 | 100 |
| 1 0 0 | 13.58 | 6.523 | 75 |
| 1 -2 1 | 25.11 | 3.547 | 74 |
| 1 1 -2 | 23.44 | 3.795 | 73 |
| 1 -2 0 | 26.64 | 3.346 | 58 |
| 1 -1 0 | 15.88 | 5.582 | 56 |
| 1 2 -1 | 28.96 | 3.083 | 55 |
| -1 2 1 | 34.37 | 2.609 | 52 |
| 2 -1 1 | 31.22 | 2.865 | 49 |
| 0 0 2 | 27.56 | 3.236 | 47 |

Record 2
For Mn2TlSe2O6, a DFT-relaxed cell (GGA+U, Alexandria) gives the computed X-ray diffraction stick pattern in this record (a wavelength of 1.5418 Å).
Peak positions follow from Bragg's law for the DFT cell and can differ from measured ones.

Atomic structure:
a = 5.3759 Å, b = 5.7879 Å, c = 7.1564 Å
α = 101.10°, β = 110.25°, γ = 95.09°
Positions (direct):
Mn1 0.1191 0.2441 0.0493
Mn2 0.8809 0.7559 0.9507
Tl1 0.5000 0.0000 0.5000
Se1 0.2382 0.4217 0.6728
Se2 0.7618 0.5783 0.3272
O1 0.0552 0.0110 0.1886
O2 0.1459 0.4941 0.8898
O3 0.4897 0.3588 0.2751
O4 0.5103 0.6412 0.7249
O5 0.8541 0.5059 0.1102
O6 0.9448 0.9890 0.8114

The 10 most intense peaks (2θ from 5° to 70°), in order of falling intensity:
| hkl | 2θ/deg | d_spacing | I_rel |
| --- | --- | --- | --- |
| -1 1 1 | 24.20 | 3.678 | 100 |
| 1 0 1 | 26.27 | 3.392 | 95 |
| 0 1 -2 | 28.20 | 3.165 | 66 |
| 1 1 -1 | 23.88 | 3.727 | 62 |
| 1 1 0 | 25.90 | 3.440 | 58 |
| 1 -2 1 | 36.40 | 2.468 | 51 |
| 2 -1 0 | 37.01 | 2.429 | 47 |
| 1 0 -1 | 17.97 | 4.935 | 44 |
| -1 1 2 | 32.87 | 2.725 | 38 |
| 0 0 1 | 13.58 | 6.520 | 36 |